Starting from a crystal structure in OQMD, relaxed with PBE, the PXRD pattern of GdDySi2Mo2C was calculated for a wavelength of 1.5418 Å.

Top 8 peaks for 10 to 90 degrees two-theta, sorted by position:
| hkl | d [Å] | intensity |
| --- | --- | --- |
| 2 0 -2 | 3.578 | 21 |
| 1 1 0 | 3.525 | 25 |
| 2 0 1 | 2.859 | 45 |
| 4 0 -1 | 2.713 | 31 |
| 3 1 -1 | 2.663 | 89 |
| 1 1 -2 | 2.547 | 100 |
| 4 0 -3 | 2.266 | 30 |
| 0 2 0 | 1.913 | 40 |

Structural model:
```
data_GdDySi2Mo2C
_chemical_formula_sum 'Gd2 Dy2 Si4 Mo4 C2'
_space_group_name_H-M_alt 'C 1 m 1'
_space_group_IT_number 8
_space_group_name_Hall 'C -2y'
_cell_length_a 11.1597
_cell_length_b 3.8262
_cell_length_c 7.1744
_cell_angle_alpha 90.00
_cell_angle_beta 125.69
_cell_angle_gamma 90.00
loop_
_atom_site_label
_atom_site_type_symbol
_atom_site_fract_x
_atom_site_fract_y
_atom_site_fract_z
_atom_site_occupancy
Gd1 Gd 0.0000 0.0000 0.0000 1
Dy1 Dy 0.1500 0.0000 0.5928 1
Si1 Si 0.2069 0.5000 0.9617 1
Si2 Si 0.4436 0.0000 0.6312 1
Mo1 Mo 0.2815 0.5000 0.3811 1
Mo2 Mo 0.3696 0.0000 0.2139 1
C1 C 0.0758 0.5000 0.2987 1
```